For Gd2SCl4, a structure optimized by DFT (GGA-PBE) gives the calculated PXRD pattern in this record (a wavelength of 1.5418 Å).
Intensities are scaled so that the largest is 100.

The 10 most intense peaks (2θ = 10–80°), by angle:
two_theta	I/Imax	h k l
20.33	100	1 1 1
23.47	29	4 0 0
24.64	53	3 1 -1
26.89	21	2 0 -2
33.67	29	2 2 1
36.75	45	4 2 0
37.63	18	4 0 2
39.10	19	2 2 -2
41.29	28	6 0 -2
41.39	20	1 1 -3

Structure:
Lattice parameters (Å, degrees): 15.313 6.407 6.960 90.00 97.97 90.00
Space group C2/c (No. 15)
One atom of each set of equivalent atoms:
Gd1 0.107 0.206 0.078 x8
S1 0.000 0.064 0.750 x4
Cl1 0.090 0.399 0.422 x8
Cl2 0.219 0.081 0.819 x8